# Li4SbTe2WO12
Theoretical XRD peak list, λ = 1.5418 Å (Cu Kα). Input: a cell relaxed with GGA+U.
Lines closer than 0.1° are merged.

Structural model:
Unit cell a=5.269 b=5.689 c=7.739 alpha=84.28 beta=89.78 gamma=90.00
Space group P1 (No. 1)
Inequivalent atoms, fractional coordinates:
Li: 0.000 0.000 0.000 (multiplicity 1)
Li: 0.004 0.036 0.506 (multiplicity 1)
Li: 0.485 0.542 0.020 (multiplicity 1)
Li: 0.491 0.516 0.495 (multiplicity 1)
Sb: 0.993 0.587 0.287 (multiplicity 1)
Te: 0.001 0.558 0.784 (multiplicity 1)
Te: 0.491 0.088 0.276 (multiplicity 1)
W: 0.499 0.085 0.785 (multiplicity 1)
O: 0.126 0.623 0.047 (multiplicity 1)
O: 0.189 0.970 0.728 (multiplicity 1)
O: 0.202 0.294 0.368 (multiplicity 1)
O: 0.291 0.792 0.366 (multiplicity 1)
O: 0.340 0.425 0.741 (multiplicity 1)
O: 0.359 0.130 0.039 (multiplicity 1)
O: 0.640 0.104 0.561 (multiplicity 1)
O: 0.644 0.811 0.879 (multiplicity 1)
O: 0.674 0.411 0.229 (multiplicity 1)
O: 0.810 0.910 0.228 (multiplicity 1)
O: 0.812 0.270 0.866 (multiplicity 1)
O: 0.860 0.586 0.529 (multiplicity 1)

Peak list (6 most intense, 2θ = 10–80°, by angle)
23.07 deg, I = 100, hkl 1 1 0; 31.63 deg, I = 29, hkl 1 1 2; 31.75 deg, I = 14, hkl -1 1 2; 34.01 deg, I = 27, hkl 2 0 0; 47.16 deg, I = 17, hkl 0 0 4; 51.45 deg, I = 14, hkl 2 2 2